No. 1
Calculated powder X-ray diffraction pattern of CaV4Co3O12 for Cu Kα, from a cell relaxed with PBE+U.
Neutral-atom scattering factors, no anomalous dispersion.

Structure:
```
20
Lattice="6.433 0.000 0.000 -2.118 6.100 0.000 -2.155 -3.034 5.277" Properties=species:S:1:pos:R:3 pbc="T T T"
Ca 0.000 0.000 0.000
V -1.078 -1.517 2.638
V -1.059 3.050 0.000
V 3.217 0.000 0.000
V 1.080 1.533 2.638
Co -2.137 1.533 2.638
Co 2.139 -1.517 2.638
Co 2.158 3.050 0.000
O -1.660 4.078 1.609
O -2.201 1.581 4.646
O -0.458 0.359 2.550
O 0.473 2.402 0.948
O -0.056 -1.783 4.322
O 2.060 0.217 1.586
O 0.100 2.849 3.691
O 2.216 4.849 0.955
O 1.687 0.664 4.329
O 2.618 2.707 2.727
O 4.361 1.485 0.631
O 3.820 -1.012 3.668
```

Largest 12 diffraction maxima, low angle first, 10° ≤ 2θ ≤ 90°:
2.640 Å, I 100; 2.633 Å, I 65; 2.626 Å, I 32; 1.868 Å, I 21; 1.861 Å, I 41; 1.526 Å, I 25; 1.522 Å, I 40; 1.519 Å, I 16; 1.516 Å, I 16; 1.319 Å, I 9; 1.317 Å, I 9; 1.180 Å, I 8


No. 2
Calculated powder X-ray diffraction pattern of CaV4Co3O12 for Cu Kα, from a cell relaxed with PBE+U.
Neutral-atom scattering factors, no anomalous dispersion.

Structure:
```
40
Lattice="6.440 0.000 0.000 2.182 6.103 0.000 0.097 0.017 10.555" Properties=species:S:1:pos:R:3 pbc="T T T"
Ca 2.179 1.550 2.649
Ca 6.540 4.571 7.906
V 1.091 3.052 0.000
V 1.139 3.060 5.278
V 3.258 4.582 2.649
V 3.320 4.583 7.920
V 3.220 0.000 0.000
V 3.268 0.009 5.278
V 5.399 1.538 2.636
V 5.461 1.539 7.906
Co 0.000 0.000 0.000
Co 0.048 0.009 5.278
Co 2.207 1.539 7.896
Co 4.311 3.052 0.000
Co 4.359 3.060 5.278
Co 6.512 4.581 2.659
O 0.158 0.015 3.231
O 1.683 3.946 1.666
O 2.205 4.402 9.459
O 2.174 3.314 6.917
O 1.664 1.187 5.177
O 2.738 3.530 4.204
O 3.876 5.626 1.017
O 2.629 1.927 0.115
O 4.462 5.882 8.873
O 4.389 4.806 6.373
O 4.885 5.266 3.684
O 4.284 3.080 2.018
O 4.435 3.041 8.537
O 3.834 0.855 6.871
O 4.330 1.315 4.182
O 4.257 0.239 1.682
O 6.090 4.193 10.440
O 4.843 0.495 9.538
O 5.981 2.591 6.351
O 7.055 4.933 5.378
O 6.545 2.807 3.638
O 6.514 1.718 1.096
O 7.036 2.175 8.890
O 8.561 6.105 7.325
```

Largest 12 diffraction maxima, low angle first, 10° ≤ 2θ ≤ 90°:
2.640 Å, I 100; 2.620 Å, I 19; 2.355 Å, I 4; 1.875 Å, I 13; 1.860 Å, I 24; 1.530 Å, I 5; 1.526 Å, I 20; 1.523 Å, I 15; 1.517 Å, I 19; 1.320 Å, I 11; 1.185 Å, I 4; 1.177 Å, I 5


No. 3
Calculated powder X-ray diffraction pattern of CaV4Co3O12 for Cu Kα, from a cell relaxed with PBE+U.
Neutral-atom scattering factors, no anomalous dispersion.

Structure:
```
40
Lattice="7.451 0.000 0.000 0.060 7.451 0.000 0.027 0.038 7.473" Properties=species:S:1:pos:R:3 pbc="T T T"
Ca 0.000 0.000 0.000
Ca 3.746 3.747 3.756
V 1.878 1.906 5.618
V 1.870 1.877 1.880
V 1.916 5.626 5.602
V 1.917 5.604 1.873
V 5.600 1.892 5.619
V 5.597 1.870 1.891
V 5.633 5.589 1.875
V 5.645 5.616 5.612
Co 7.492 3.754 3.753
Co 0.036 3.731 0.012
Co 3.772 7.468 3.749
Co 3.794 7.486 7.458
Co 3.739 3.731 0.008
Co 7.454 0.020 3.748
O 0.041 2.239 1.384
O 0.065 2.249 6.115
O 1.352 0.015 2.267
O 1.443 7.439 5.268
O 1.492 2.377 3.754
O 1.562 5.133 3.708
O 2.251 6.063 0.063
O 2.240 1.358 0.003
O 2.387 3.794 5.967
O 2.388 3.728 1.493
O 3.699 1.512 2.370
O 3.708 1.538 5.118
O 3.779 6.003 5.121
O 3.818 5.964 2.361
O 5.135 3.793 5.983
O 5.140 3.684 1.520
O 5.236 6.090 0.010
O 5.246 1.437 7.426
O 5.971 2.358 3.794
O 6.029 5.120 3.754
O 6.053 0.073 2.231
O 6.150 7.454 5.239
O 7.437 5.233 1.410
O 7.507 5.251 6.131
```

Largest 12 diffraction maxima, low angle first, 10° ≤ 2θ ≤ 90°:
2.644 Å, I 100; 2.632 Å, I 63; 2.624 Å, I 31; 1.868 Å, I 20; 1.863 Å, I 41; 1.529 Å, I 24; 1.522 Å, I 39; 1.519 Å, I 16; 1.517 Å, I 16; 1.322 Å, I 13; 1.316 Å, I 9; 1.180 Å, I 10


No. 4
Calculated powder X-ray diffraction pattern of CaV4Co3O12 for Cu Kα, from a cell relaxed with PBE+U.
Neutral-atom scattering factors, no anomalous dispersion.

Structure:
```
40
Lattice="6.445 0.000 0.000 2.204 6.101 0.000 0.121 0.018 10.545" Properties=species:S:1:pos:R:3 pbc="T T T"
Ca 0.000 0.000 0.000
Ca 4.385 3.059 5.272
V 1.102 3.050 0.000
V 1.162 3.059 5.272
V 3.349 4.600 7.891
V 3.287 4.574 2.637
V 3.223 0.000 0.000
V 3.283 0.009 5.272
V 5.483 1.544 7.908
V 5.421 1.519 2.654
Co 0.060 0.009 5.272
Co 2.240 1.527 7.900
Co 2.204 1.545 2.633
Co 4.325 3.050 0.000
Co 6.566 4.574 7.912
Co 6.530 4.592 2.645
O 1.700 4.038 1.609
O 0.518 0.392 2.528
O 2.354 4.337 4.263
O 2.311 3.254 6.876
O 2.761 3.712 9.628
O 2.114 1.423 0.597
O 2.274 1.644 4.673
O 3.895 5.461 6.227
O 4.408 5.906 8.933
O 4.254 4.816 1.011
O 3.896 2.684 2.721
O 4.900 5.158 3.732
O 3.870 0.961 6.813
O 4.875 3.434 7.824
O 4.516 1.303 9.534
O 4.362 0.212 1.612
O 4.875 0.657 4.317
O 6.496 4.474 5.872
O 6.656 4.695 9.948
O 6.009 2.406 0.917
O 6.459 2.865 3.669
O 6.416 1.781 6.282
O 8.252 5.727 8.017
O 7.070 2.081 8.936
```

Largest 12 diffraction maxima, low angle first, 10° ≤ 2θ ≤ 90°:
2.642 Å, I 100; 2.636 Å, I 25; 2.616 Å, I 24; 1.877 Å, I 16; 1.858 Å, I 30; 1.532 Å, I 6; 1.526 Å, I 24; 1.523 Å, I 18; 1.516 Å, I 18; 1.514 Å, I 6; 1.320 Å, I 7; 1.319 Å, I 6


No. 5
Calculated powder X-ray diffraction pattern of Ca2CoWO6 for Cu Kα, from a cell relaxed with PBE+U.
Neutral-atom scattering factors, no anomalous dispersion.

Structure:
```
20
Lattice="5.469 0.000 0.000 0.000 5.657 0.000 -5.423 0.000 7.830" Properties=species:S:1:pos:R:3 pbc="T T T"
Ca -0.065 0.314 1.933
Ca -2.776 2.514 5.848
Ca 2.822 3.143 1.982
Ca 0.110 5.343 5.897
Co -2.712 0.000 3.915
Co 0.000 2.828 0.000
W 2.734 0.000 0.000
W 0.023 2.828 3.915
O -4.273 1.093 7.471
O -1.562 1.736 3.556
O -3.717 4.050 7.402
O -1.006 4.435 3.487
O -2.172 0.189 5.954
O 0.540 2.639 2.039
O -0.494 3.018 5.791
O 2.218 5.468 1.876
O 1.051 1.222 4.343
O 3.763 1.607 0.428
O 1.607 3.921 4.273
O 4.319 4.564 0.359
```

Largest 12 diffraction maxima, low angle first, 10° ≤ 2θ ≤ 90°:
4.585 Å, I 45; 4.471 Å, I 23; 3.926 Å, I 100; 2.828 Å, I 35; 2.780 Å, I 70; 2.768 Å, I 69; 2.734 Å, I 32; 2.351 Å, I 22; 1.966 Å, I 38; 1.957 Å, I 21; 1.622 Å, I 25; 1.589 Å, I 25


No. 6
Calculated powder X-ray diffraction pattern of Ca2CoWO6 for Cu Kα, from a cell relaxed with PBE+U.
Neutral-atom scattering factors, no anomalous dispersion.

Structure:
```
10
Lattice="3.979 -3.989 0.000 3.979 3.989 0.000 -3.889 0.000 3.987" Properties=species:S:1:pos:R:3 pbc="T T T"
Ca 3.979 2.009 0.000
Ca 3.979 -2.009 0.000
Co -1.729 0.000 2.186
W 2.264 0.000 2.200
O 2.263 0.000 0.279
O 2.366 1.940 2.230
O 0.347 0.000 2.330
O 4.227 0.000 2.246
O 2.366 -1.940 2.230
O 6.307 0.000 0.172
```

Largest 12 diffraction maxima, low angle first, 10° ≤ 2θ ≤ 90°:
4.636 Å, I 30; 4.567 Å, I 29; 3.984 Å, I 84; 2.848 Å, I 24; 2.818 Å, I 100; 2.785 Å, I 25; 1.994 Å, I 36; 1.989 Å, I 17; 1.783 Å, I 19; 1.638 Å, I 17; 1.614 Å, I 19; 1.409 Å, I 20


No. 7
Calculated powder X-ray diffraction pattern of Ca3Co2W2O12 for Cu Kα, from a cell relaxed with PBE+U.
Neutral-atom scattering factors, no anomalous dispersion.

Structure:
```
19
Lattice="5.388 0.000 0.000 -0.158 5.509 0.000 -0.056 -0.085 7.798" Properties=species:S:1:pos:R:3 pbc="T T T"
Ca 0.000 0.000 0.000
Ca -0.101 4.967 3.888
Ca 2.663 2.727 7.782
Co 0.002 2.535 1.975
Co 2.559 5.253 5.836
W -0.054 2.437 5.771
W 2.567 5.350 2.000
O 0.350 2.327 7.727
O 0.951 0.804 5.595
O 1.069 0.791 2.193
O 1.402 3.693 2.220
O 1.409 3.647 5.587
O 2.143 5.144 0.068
O 2.961 5.339 3.845
O 3.756 1.245 6.253
O 3.811 1.348 1.549
O 4.090 4.158 1.638
O 4.142 3.970 6.183
O 4.925 2.532 3.947
```

Largest 12 diffraction maxima, low angle first, 10° ≤ 2θ ≤ 90°:
4.476 Å, I 26; 4.447 Å, I 22; 4.416 Å, I 25; 3.904 Å, I 100; 3.797 Å, I 46; 2.760 Å, I 69; 2.754 Å, I 35; 2.738 Å, I 35; 2.703 Å, I 32; 2.693 Å, I 32; 1.954 Å, I 22; 1.950 Å, I 23


What did the second record say?
Calculated powder X-ray diffraction pattern of CaV4Co3O12 for Cu Kα, from a cell relaxed with PBE+U.
Neutral-atom scattering factors, no anomalous dispersion.

Structure:
```
40
Lattice="6.440 0.000 0.000 2.182 6.103 0.000 0.097 0.017 10.555" Properties=species:S:1:pos:R:3 pbc="T T T"
Ca 2.179 1.550 2.649
Ca 6.540 4.571 7.906
V 1.091 3.052 0.000
V 1.139 3.060 5.278
V 3.258 4.582 2.649
V 3.320 4.583 7.920
V 3.220 0.000 0.000
V 3.268 0.009 5.278
V 5.399 1.538 2.636
V 5.461 1.539 7.906
Co 0.000 0.000 0.000
Co 0.048 0.009 5.278
Co 2.207 1.539 7.896
Co 4.311 3.052 0.000
Co 4.359 3.060 5.278
Co 6.512 4.581 2.659
O 0.158 0.015 3.231
O 1.683 3.946 1.666
O 2.205 4.402 9.459
O 2.174 3.314 6.917
O 1.664 1.187 5.177
O 2.738 3.530 4.204
O 3.876 5.626 1.017
O 2.629 1.927 0.115
O 4.462 5.882 8.873
O 4.389 4.806 6.373
O 4.885 5.266 3.684
O 4.284 3.080 2.018
O 4.435 3.041 8.537
O 3.834 0.855 6.871
O 4.330 1.315 4.182
O 4.257 0.239 1.682
O 6.090 4.193 10.440
O 4.843 0.495 9.538
O 5.981 2.591 6.351
O 7.055 4.933 5.378
O 6.545 2.807 3.638
O 6.514 1.718 1.096
O 7.036 2.175 8.890
O 8.561 6.105 7.325
```

Largest 12 diffraction maxima, low angle first, 10° ≤ 2θ ≤ 90°:
2.640 Å, I 100; 2.620 Å, I 19; 2.355 Å, I 4; 1.875 Å, I 13; 1.860 Å, I 24; 1.530 Å, I 5; 1.526 Å, I 20; 1.523 Å, I 15; 1.517 Å, I 19; 1.320 Å, I 11; 1.185 Å, I 4; 1.177 Å, I 5


What is the formula in the fifth record?
Ca2CoWO6